Structure and theoretical XRD peak list of TbTmGe2 (the PBE geometry in Alexandria; Cu Kα X-rays).
Kinematic intensities with the Lorentz-polarization factor, no thermal factor.

The 12 most intense peaks (2θ from 10° to 90°), in order of rising 2θ:
28.1 deg, d = 3.181 Å, I = 23; 32.0 deg, d = 2.799 Å, I = 100; 32.8 deg, d = 2.733 Å, I = 32; 33.5 deg, d = 2.671 Å, I = 32; 40.1 deg, d = 2.249 Å, I = 52; 42.4 deg, d = 2.130 Å, I = 25; 45.8 deg, d = 1.979 Å, I = 20; 55.1 deg, d = 1.665 Å, I = 16; 57.5 deg, d = 1.603 Å, I = 13; 58.0 deg, d = 1.590 Å, I = 13; 64.2 deg, d = 1.450 Å, I = 14; 76.0 deg, d = 1.252 Å, I = 16

Cell lengths 3.9585, 5.7517, 5.7517 Å; angles 43.47, 90.00, 90.00 degrees
Element x y z (fractional)
Tb  0.0000  0.0000  0.0000
Tm  0.5000  0.7243  0.7243
Ge  0.0000  0.2757  0.2757
Ge  0.5000  0.4479  0.4479